[1]
Structure and calculated X-ray diffraction stick pattern of Sr6Fe2Ru2O11 (a cell relaxed with PBE+U; copper Kα).
Kinematic intensities with the Lorentz-polarization factor, no thermal factor.

Crystal structure
```
data_Sr6Fe2Ru2O11
_space_group_name_H-M_alt 'C 1 2 1'
_space_group_IT_number 5
_cell_length_a 5.510
_cell_length_b 20.663
_cell_length_c 5.512
_cell_angle_alpha 90.00
_cell_angle_beta 94.00
_cell_angle_gamma 90.00
loop_
_space_group_symop_operation_xyz
'x,y,z'
'-x,y,-z'
'x+1/2,y+1/2,z'
'-x+1/2,y+1/2,-z'
loop_
_atom_site_label
_atom_site_fract_x
_atom_site_fract_y
_atom_site_fract_z
_atom_site_occupancy
Sr1 0.237 0.000 0.263 1
Sr2 0.243 0.811 0.249 1
Sr3 0.244 0.181 0.255 1
Fe1 0.247 0.596 0.247 1
Ru1 0.238 0.400 0.241 1
O1 0.000 0.089 0.500 1
O2 0.000 0.092 0.000 1
O3 0.000 0.400 0.500 1
O4 0.000 0.592 0.500 1
O5 0.000 0.899 0.000 1
O6 0.219 0.495 0.218 1
O7 0.224 0.692 0.224 1
O8 0.248 0.303 0.257 1
```

The 12 most intense peaks (10° ≤ 2θ ≤ 80°), by intensity:
- 2θ = 32.58°, d = 2.749 Å, I 100
- 2θ = 32.19°, d = 2.781 Å, I 82
- 2θ = 30.99°, d = 2.885 Å, I 67
- 2θ = 56.39°, d = 1.632 Å, I 32
- 2θ = 55.65°, d = 1.652 Å, I 29
- 2θ = 44.98°, d = 2.015 Å, I 28
- 2θ = 48.43°, d = 1.880 Å, I 25
- 2θ = 58.62°, d = 1.575 Å, I 23
- 2θ = 43.81°, d = 2.066 Å, I 22
- 2θ = 68.24°, d = 1.374 Å, I 14
- 2θ = 64.60°, d = 1.443 Å, I 12
- 2θ = 42.06°, d = 2.148 Å, I 12

***

[2]
Structure and calculated X-ray diffraction stick pattern of Fe2S2O13 (a cell relaxed with PBE+U; copper Kα).
Kinematic intensities with the Lorentz-polarization factor, no thermal factor.

Crystal structure
```
data_Fe2S2O13
_space_group_name_H-M_alt 'P -1'
_space_group_IT_number 2
_cell_length_a 6.973
_cell_length_b 7.197
_cell_length_c 10.974
_cell_angle_alpha 88.75
_cell_angle_beta 82.69
_cell_angle_gamma 86.40
loop_
_space_group_symop_operation_xyz
'x,y,z'
'-x,-y,-z'
loop_
_atom_site_label
_atom_site_fract_x
_atom_site_fract_y
_atom_site_fract_z
_atom_site_occupancy
Fe1 0.089 0.180 0.445 1
Fe2 0.200 0.776 0.282 1
S1 0.164 0.473 0.661 1
S2 0.388 0.139 0.186 1
O1 0.005 0.195 0.970 1
O2 0.016 0.591 0.262 1
O3 0.051 0.921 0.402 1
O4 0.119 0.671 0.621 1
O5 0.132 0.699 0.993 1
O6 0.206 0.360 0.547 1
O7 0.286 0.959 0.163 1
O8 0.299 0.205 0.312 1
O9 0.324 0.465 0.734 1
O10 0.337 0.270 0.090 1
O11 0.391 0.681 0.348 1
O12 0.406 0.904 0.814 1
O13 0.421 0.974 0.523 1
```

The 12 most intense peaks (10° ≤ 2θ ≤ 80°), by intensity:
- 2θ = 14.30°, d = 6.194 Å, I 100
- 2θ = 19.50°, d = 4.553 Å, I 67
- 2θ = 27.38°, d = 3.257 Å, I 49
- 2θ = 12.82°, d = 6.904 Å, I 36
- 2θ = 27.94°, d = 3.193 Å, I 35
- 2θ = 20.66°, d = 4.299 Å, I 29
- 2θ = 25.60°, d = 3.480 Å, I 20
- 2θ = 32.18°, d = 2.782 Å, I 19
- 2θ = 25.05°, d = 3.555 Å, I 19
- 2θ = 26.26°, d = 3.394 Å, I 19
- 2θ = 31.64°, d = 2.828 Å, I 18
- 2θ = 29.09°, d = 3.069 Å, I 17

***

- What is the formula in the first record?
  Sr6Fe2Ru2O11

***

- Which formula does entry 2 have?
  Fe2S2O13